Starting from a cell relaxed with GGA+U, the X-ray powder pattern of Eu2Mo3O12 was calculated for Cu Kα (weighted mean of Kα1 and Kα2).
Lines closer than 0.1° are merged.

Cell and atoms:
```
data_Eu2Mo3O12
_cell_length_a 7.845
_cell_length_b 11.754
_cell_length_c 11.654
_cell_angle_alpha 90.00
_cell_angle_beta 108.91
_cell_angle_gamma 90.00
_space_group_name_H-M_alt 'C 1 2/c 1'
_space_group_IT_number 15
_space_group_name_Hall '-C 2yc'
loop_
_atom_site_label
_atom_site_type_symbol
_atom_site_fract_x
_atom_site_fract_y
_atom_site_fract_z
Eu1 Eu 0.176 0.128 0.092
Mo1 Mo 0.000 0.121 0.750
Mo2 Mo 0.159 0.357 0.553
O1 O 0.012 0.040 0.886
O2 O 0.069 0.297 0.959
O3 O 0.114 0.213 0.422
O4 O 0.143 0.465 0.446
O5 O 0.196 0.208 0.781
O6 O 0.214 0.426 0.697
```

Peak list (12 most intense, 5° ≤ 2θ ≤ 70°, sorted by position)
(hkl)  Position (°2θ)  I/Imax
1 1 0  14.15  24
0 0 2  16.08  20
0 2 1  17.10  15
1 1 2  24.23  17
1 1 -3  24.49  16
2 2 -1  27.34  100
0 2 3  28.65  77
0 4 0  30.42  26
2 0 2  33.19  16
2 4 2  45.63  24
2 4 -4  45.98  23
4 0 -2  46.31  18

Starting from a cell relaxed with GGA+U, the X-ray powder pattern of LiMg4AlMo6O24 was calculated for Cu Kα (weighted mean of Kα1 and Kα2).
Lines closer than 0.1° are merged.

Cell and atoms:
```
data_LiMg4AlMo6O24
_cell_length_a 6.995
_cell_length_b 8.380
_cell_length_c 9.867
_cell_angle_alpha 95.89
_cell_angle_beta 107.12
_cell_angle_gamma 101.61
_space_group_name_H-M_alt 'P 1'
_space_group_IT_number 1
_space_group_name_Hall 'P 1'
loop_
_atom_site_label
_atom_site_type_symbol
_atom_site_fract_x
_atom_site_fract_y
_atom_site_fract_z
Li1 Li 0.000 0.000 0.000
Mg1 Mg 0.281 0.809 0.185
Mg2 Mg 0.499 0.415 0.796
Mg3 Mg 0.576 0.801 0.784
Mg4 Mg 0.786 0.410 0.372
Al1 Al 0.074 0.226 0.578
Mo1 Mo 0.015 0.817 0.659
Mo2 Mo 0.052 0.407 0.900
Mo3 Mo 0.336 0.500 0.448
Mo4 Mo 0.533 0.120 0.530
Mo5 Mo 0.541 0.102 0.042
Mo6 Mo 0.733 0.715 0.124
O1 O 0.027 0.008 0.579
O2 O 0.047 0.241 0.994
O3 O 0.084 0.361 0.440
O4 O 0.168 0.364 0.751
O5 O 0.182 0.592 0.026
O6 O 0.269 0.803 0.748
O7 O 0.283 0.660 0.353
O8 O 0.300 0.983 0.049
O9 O 0.372 0.241 0.600
O10 O 0.381 0.012 0.359
O11 O 0.480 0.586 0.634
O12 O 0.485 0.251 0.930
O13 O 0.486 0.394 0.372
O14 O 0.575 0.969 0.638
O15 O 0.588 0.632 0.932
O16 O 0.588 0.819 0.208
O17 O 0.680 0.973 0.966
O18 O 0.699 0.206 0.216
O19 O 0.778 0.548 0.213
O20 O 0.790 0.231 0.527
O21 O 0.793 0.411 0.811
O22 O 0.887 0.830 0.791
O23 O 0.891 0.634 0.528
O24 O 0.985 0.842 0.148
```

Peak list (12 most intense, 5° ≤ 2θ ≤ 70°, sorted by position)
(hkl)  Position (°2θ)  I/Imax
1 0 1  19.08  67
1 0 -2  19.56  65
1 1 -2  22.48  37
1 -2 0  22.92  79
0 1 2  23.69  100
2 0 -1  26.02  55
-2 1 1  26.22  37
1 -1 2  26.50  25
0 2 -2  26.61  90
1 2 -1  27.52  38
-1 2 2  29.59  30
-4 1 2  52.43  26

Starting from a cell relaxed with GGA+U, the X-ray powder pattern of SrMnO3 was calculated for Cu Kα (weighted mean of Kα1 and Kα2).
Lines closer than 0.1° are merged.

Cell and atoms:
```
data_SrMnO3
_cell_length_a 3.843
_cell_length_b 3.861
_cell_length_c 3.903
_cell_angle_alpha 90.00
_cell_angle_beta 90.00
_cell_angle_gamma 90.00
_space_group_name_H-M_alt 'P m m m'
_space_group_IT_number 47
_space_group_name_Hall '-P 2 2'
loop_
_atom_site_label
_atom_site_type_symbol
_atom_site_fract_x
_atom_site_fract_y
_atom_site_fract_z
Sr1 Sr 0.000 0.000 0.000
Mn1 Mn 0.500 0.500 0.500
O1 O 0.000 0.500 0.500
O2 O 0.500 0.000 0.500
O3 O 0.500 0.500 0.000
```

Peak list (12 most intense, 5° ≤ 2θ ≤ 70°, sorted by position)
(hkl)  Position (°2θ)  I/Imax
1 0 1  32.66  100
1 1 0  32.88  49
1 1 1  40.38  22
0 0 2  46.54  20
0 2 0  47.07  19
2 0 0  47.31  19
1 1 2  58.15  19
1 2 1  58.49  18
2 1 1  58.65  18
0 2 2  68.35  11
2 0 2  68.54  11
2 2 0  68.95  11

Starting from a cell relaxed with GGA+U, the X-ray powder pattern of Li4AlNi3O8 was calculated for Cu Kα (weighted mean of Kα1 and Kα2).
Lines closer than 0.1° are merged.

Cell and atoms:
```
data_Li4AlNi3O8
_cell_length_a 2.8795
_cell_length_b 2.8795
_cell_length_c 57.6375
_cell_angle_alpha 90.00
_cell_angle_beta 90.00
_cell_angle_gamma 120.00
_space_group_name_H-M_alt 'R -3 m'
_space_group_IT_number 166
_space_group_name_Hall '-R 3 2"'
loop_
_atom_site_label
_atom_site_type_symbol
_atom_site_fract_x
_atom_site_fract_y
_atom_site_fract_z
Li1 Li 0.0000 0.0000 0.1250
Li2 Li 0.0000 0.0000 0.3747
Al1 Al 0.0000 0.0000 0.0000
Ni1 Ni 0.0000 0.0000 0.2501
Ni2 Ni 0.0000 0.0000 0.5000
O1 O 0.0000 0.0000 0.0645
O2 O 0.0000 0.0000 0.1856
O3 O 0.0000 0.0000 0.3158
O4 O 0.0000 0.0000 0.4357
```

Peak list (12 most intense, 5° ≤ 2θ ≤ 70°, sorted by position)
(hkl)  Position (°2θ)  I/Imax
0 0 6  9.21  11
0 0 9  13.83  4
0 0 12  18.47  100
1 0 4  36.57  39
0 0 24  37.45  5
0 1 8  38.19  12
1 0 16  44.17  77
0 1 20  48.26  13
1 0 28  58.11  15
0 1 32  63.74  21
1 1 0  64.75  21
1 1 12  67.97  14

Starting from a cell relaxed with GGA+U, the X-ray powder pattern of Li4Cr3CuP4O16 was calculated for Cu Kα (weighted mean of Kα1 and Kα2).
Lines closer than 0.1° are merged.

Cell and atoms:
```
data_Li4Cr3CuP4O16
_cell_length_a 4.769
_cell_length_b 6.244
_cell_length_c 10.220
_cell_angle_alpha 90.00
_cell_angle_beta 90.04
_cell_angle_gamma 90.00
_space_group_name_H-M_alt 'P 1 m 1'
_space_group_IT_number 6
_space_group_name_Hall 'P -2y'
loop_
_atom_site_label
_atom_site_type_symbol
_atom_site_fract_x
_atom_site_fract_y
_atom_site_fract_z
Li1 Li 0.000 0.244 0.000
Li2 Li 0.504 0.245 0.508
Cr1 Cr 0.047 0.500 0.287
Cr2 Cr 0.472 0.500 0.785
Cr3 Cr 0.544 0.000 0.220
Cu1 Cu 0.961 0.000 0.719
P1 P 0.087 0.000 0.411
P2 P 0.423 0.000 0.910
P3 P 0.586 0.500 0.098
P4 P 0.920 0.500 0.601
O1 O 0.201 0.000 0.553
O2 O 0.220 0.199 0.342
O3 O 0.244 0.500 0.607
O4 O 0.262 0.500 0.105
O5 O 0.292 0.203 0.844
O6 O 0.302 0.000 0.053
O7 O 0.700 0.500 0.954
O8 O 0.720 0.301 0.166
O9 O 0.747 0.000 0.908
O10 O 0.762 0.000 0.403
O11 O 0.781 0.303 0.670
O12 O 0.810 0.500 0.457
```

Peak list (12 most intense, 5° ≤ 2θ ≤ 70°, sorted by position)
(hkl)  Position (°2θ)  I/Imax
0 0 2  17.35  24
1 0 1  20.55  53
0 1 2  22.48  14
1 1 -1  25.06  60
0 2 0  28.59  58
1 0 3  32.29  23
1 1 -3  35.44  100
0 1 4  38.05  16
2 0 1  38.75  24
2 2 -2  51.43  24
1 3 -3  55.19  18
0 1 6  55.95  16

Starting from a cell relaxed with GGA+U, the X-ray powder pattern of NdBMoO6 was calculated for Cu Kα (weighted mean of Kα1 and Kα2).
Lines closer than 0.1° are merged.

Cell and atoms:
```
data_NdBMoO6
_cell_length_a 10.301
_cell_length_b 4.174
_cell_length_c 12.038
_cell_angle_alpha 90.00
_cell_angle_beta 116.81
_cell_angle_gamma 90.00
_space_group_name_H-M_alt 'P 1 21/c 1'
_space_group_IT_number 14
_space_group_name_Hall '-P 2ybc'
loop_
_atom_site_label
_atom_site_type_symbol
_atom_site_fract_x
_atom_site_fract_y
_atom_site_fract_z
Nd1 Nd 0.195 0.206 0.030
B1 B 0.004 0.670 0.809
Mo1 Mo 0.355 0.701 0.817
O1 O 0.001 0.726 0.414
O2 O 0.032 0.157 0.301
O3 O 0.259 0.714 0.148
O4 O 0.259 0.716 0.409
O5 O 0.338 0.225 0.301
O6 O 0.454 0.227 0.104
```

Peak list (12 most intense, 5° ≤ 2θ ≤ 70°, sorted by position)
(hkl)  Position (°2θ)  I/Imax
2 0 0  19.31  46
1 1 -2  26.07  100
3 0 -2  26.18  99
0 1 2  27.05  54
2 1 0  28.89  64
1 0 -4  30.16  51
2 0 2  30.78  37
1 1 2  31.26  33
0 2 0  43.36  32
5 0 -2  44.30  44
1 1 4  44.79  39
2 1 -6  50.58  31

Q: Number 5 is which compound?
A: Li4Cr3CuP4O16